This entry pairs a crystal structure of B12S with its simulated powder diffractogram. Radiation: Cu Kα. Structure: DFT lattice parameters and positions (PBE).
Peak positions follow from Bragg's law for the DFT cell and can differ from measured ones.

The 6 most intense peaks (15 to 90 degrees two-theta), sorted by position:
- d 4.113, 21.60°, I = 42
- d 3.809, 23.35°, I = 100
- d 2.602, 34.47°, I = 61
- d 2.376, 37.87°, I = 76
- d 2.312, 38.95°, I = 37
- d 1.470, 63.26°, I = 31

Atomic structure:
Lattice parameters (Å, degrees): 5.229 5.229 5.229 64.64 64.64 64.64
Sites, in units of the cell vectors:
B  0.010  0.495  0.495
B  0.109  0.109  0.630
B  0.109  0.630  0.109
B  0.304  0.304  0.975
B  0.304  0.975  0.304
B  0.313  0.313  0.637
B  0.313  0.637  0.313
B  0.495  0.010  0.495
B  0.495  0.495  0.010
B  0.630  0.109  0.109
B  0.637  0.313  0.313
B  0.975  0.304  0.304
S  0.723  0.723  0.723